Starting from a cell relaxed with PBE+U, the X-ray powder pattern of Li4Fe3TeO12 was simulated for Cu Kα (weighted mean of Kα1 and Kα2).
Peak positions follow from Bragg's law for the DFT cell and can differ from measured ones.

Structural model:
abc: 4.9414 8.2982 5.0277
angles: 90.00 91.53 90.00
Sites, in units of the cell vectors:
Li: 0.0000 0.0000 0.0000
Li: 0.0000 0.3651 0.5000
Li: 0.5000 0.4881 0.5000
Li: 0.5000 0.8971 0.0000
Fe: 0.0000 0.7956 0.5000
Fe: 0.5000 0.0968 0.5000
Fe: 0.5000 0.2797 0.0000
Te: 0.0000 0.5935 0.0000
O: 0.1991 0.7733 0.8266
O: 0.2092 0.6121 0.3248
O: 0.2416 0.4381 0.8397
O: 0.2487 0.9494 0.3506
O: 0.3046 0.1094 0.8166
O: 0.3097 0.2712 0.3138
O: 0.6903 0.2712 0.6862
O: 0.6954 0.1094 0.1834
O: 0.7513 0.9494 0.6494
O: 0.7584 0.4381 0.1603
O: 0.7908 0.6121 0.6752
O: 0.8009 0.7733 0.1734

Top 10 peaks for 2θ = 10–80°, in order of falling intensity:
h k l  2θ (°)  Rel. int.
1 1 0  20.9  100
0 1 1  20.7  38
1 2 -1  33.1  31
1 2 1  33.6  28
2 0 2  52.6  21
1 1 -2  41.3  19
2 3 1  53.3  13
0 3 1  37.1  12
0 3 3  65.1  10
1 1 2  42.2  10